# 1
This entry pairs a crystal structure of ScNbCN with its theoretical powder XRD pattern. Radiation: Cu Kα (λ = 1.5418 Å). Structure: a cell relaxed with GGA-PBE.
Intensities are scaled so that the largest is 100.

Principal peaks in the range 2θ = 5–70°, in order of rising 2θ:
hkl, 2θ/deg, I/Imax
0 0 3, 16.07, 52.4
0 0 6, 32.46, 42.8
1 0 1, 33.37, 97.3
0 1 2, 34.71, 61.4
1 0 4, 39.65, 38.8
0 1 5, 43.04, 100.0
1 0 7, 51.19, 40.2
1 1 0, 58.78, 42.3
1 0 10, 66.09, 16.3
1 1 6, 68.77, 29.5

Structural model:
```
data_ScNbCN
_cell_length_a 3.1419
_cell_length_b 3.1419
_cell_length_c 16.5472
_cell_angle_alpha 90.00
_cell_angle_beta 90.00
_cell_angle_gamma 120.00
_space_group_name_H-M_alt 'R 3 m'
_space_group_IT_number 160
_space_group_name_Hall 'R 3 -2"'
loop_
_atom_site_label
_atom_site_fract_x
_atom_site_fract_y
_atom_site_fract_z
Sc1 0.0000 0.0000 0.0000
Nb1 0.0000 0.0000 0.1759
C1 0.0000 0.0000 0.5833
N1 0.0000 0.0000 0.7605
```

# 2
This entry pairs a crystal structure of Mo3Se4S2 with its theoretical powder XRD pattern. Radiation: Cu Kα (λ = 1.5418 Å). Structure: a cell relaxed with GGA-PBE.
Intensities are scaled so that the largest is 100.

Principal peaks in the range 2θ = 5–70°, in order of rising 2θ:
hkl, 2θ/deg, I/Imax
0 0 2, 6.75, 100.0
0 0 3, 10.14, 43.7
0 0 4, 13.53, 25.1
1 0 0, 31.52, 19.2
1 0 4, 34.44, 5.2
1 0 5, 36.00, 15.9
1 0 6, 37.82, 26.9
1 0 7, 39.88, 7.0
1 0 9, 44.61, 29.6
1 1 0, 56.13, 12.2

Structural model:
```
data_Mo3Se4S2
_cell_length_a 3.2774
_cell_length_b 3.2774
_cell_length_c 26.1716
_cell_angle_alpha 90.00
_cell_angle_beta 90.00
_cell_angle_gamma 120.00
_space_group_name_H-M_alt 'P -6 m 2'
_space_group_IT_number 187
_space_group_name_Hall 'P -6 2'
loop_
_atom_site_label
_atom_site_fract_x
_atom_site_fract_y
_atom_site_fract_z
Mo1 0.0000 0.0000 0.0000
Mo2 0.6667 0.3333 0.2712
Se1 0.0000 0.0000 0.2066
Se2 0.0000 0.0000 0.3358
S1 0.6667 0.3333 0.0587
```

# 3
This entry pairs a crystal structure of LaHoPtI with its theoretical powder XRD pattern. Radiation: Cu Kα (λ = 1.5418 Å). Structure: a cell relaxed with GGA-PBE.
Intensities are scaled so that the largest is 100.

Principal peaks in the range 2θ = 5–70°, in order of rising 2θ:
hkl, 2θ/deg, I/Imax
0 0 3, 10.93, 37.5
0 1 2, 25.50, 26.0
1 0 4, 28.55, 11.2
0 1 5, 30.65, 100.0
1 0 7, 35.72, 16.6
0 1 8, 38.58, 11.0
1 1 0, 42.96, 45.9
1 0 10, 44.83, 26.5
2 0 5, 53.69, 20.8
0 2 10, 63.81, 14.7

Structural model:
```
data_LaHoPtI
_cell_length_a 4.2108
_cell_length_b 4.2108
_cell_length_c 24.2904
_cell_angle_alpha 90.00
_cell_angle_beta 90.00
_cell_angle_gamma 120.00
_space_group_name_H-M_alt 'R 3 m'
_space_group_IT_number 160
_space_group_name_Hall 'R 3 -2"'
loop_
_atom_site_label
_atom_site_fract_x
_atom_site_fract_y
_atom_site_fract_z
La1 0.0000 0.0000 0.0000
Ho1 0.0000 0.0000 0.2089
Pt1 0.0000 0.0000 0.5997
I1 0.0000 0.0000 0.7748
```

# 4
This entry pairs a crystal structure of Al3ZnGa3 with its theoretical powder XRD pattern. Radiation: Cu Kα (λ = 1.5418 Å). Structure: a cell relaxed with GGA-PBE.
Intensities are scaled so that the largest is 100.

Principal peaks in the range 2θ = 5–70°, in order of rising 2θ:
hkl, 2θ/deg, I/Imax
0 1 1, 13.94, 36.2
0 0 2, 22.47, 49.5
1 3 -1, 29.25, 49.6
1 2 -3, 32.52, 55.9
0 1 3, 35.04, 49.4
1 3 1, 36.64, 51.7
2 2 -3, 36.82, 70.1
1 4 -1, 36.96, 100.0
2 1 1, 45.31, 67.6
3 1 -2, 47.12, 37.2

Structural model:
```
data_Al3ZnGa3
_cell_length_a 5.994
_cell_length_b 10.648
_cell_length_c 9.660
_cell_angle_alpha 90.00
_cell_angle_beta 124.98
_cell_angle_gamma 90.00
_space_group_name_H-M_alt 'P 1 21/c 1'
_space_group_IT_number 14
loop_
_space_group_symop_operation_xyz
'x,y,z'
'-x,-y,-z'
'-x,y+1/2,-z+1/2'
'x,-y+1/2,z+1/2'
loop_
_atom_site_label
_atom_site_fract_x
_atom_site_fract_y
_atom_site_fract_z
Al1 0.109 0.241 0.002
Al2 0.223 0.746 0.883
Al3 0.249 0.515 0.532
Zn1 0.478 0.069 0.630
Ga1 0.071 0.042 0.315
Ga2 0.293 0.153 0.820
Ga3 0.407 0.662 0.201
```

# 5
This entry pairs a crystal structure of Ca3CdRh with its theoretical powder XRD pattern. Radiation: Cu Kα (λ = 1.5418 Å). Structure: a cell relaxed with GGA-PBE.
Intensities are scaled so that the largest is 100.

Principal peaks in the range 2θ = 5–70°, in order of rising 2θ:
hkl, 2θ/deg, I/Imax
-1 1 1, 20.30, 100.0
1 -1 1, 20.72, 98.7
0 0 2, 21.34, 78.0
2 -1 0, 31.53, 93.7
1 0 -3, 32.03, 43.3
0 2 0, 32.61, 73.8
0 2 -2, 33.41, 97.3
1 1 1, 34.53, 78.1
1 1 -3, 35.56, 53.2
1 -1 3, 37.29, 66.4

Structural model:
```
data_Ca3CdRh
_cell_length_a 5.765
_cell_length_b 6.329
_cell_length_c 8.852
_cell_angle_alpha 100.71
_cell_angle_beta 100.37
_cell_angle_gamma 114.82
_space_group_name_H-M_alt 'P -1'
_space_group_IT_number 2
loop_
_space_group_symop_operation_xyz
'x,y,z'
'-x,-y,-z'
loop_
_atom_site_label
_atom_site_fract_x
_atom_site_fract_y
_atom_site_fract_z
Ca1 0.060 0.180 0.286
Ca2 0.300 0.440 0.736
Ca3 0.301 0.800 0.102
Cd1 0.339 0.755 0.484
Rh1 0.236 0.233 0.000
```

# 6
This entry pairs a crystal structure of AcTe6Pb5 with its theoretical powder XRD pattern. Radiation: Cu Kα (λ = 1.5418 Å). Structure: a cell relaxed with GGA-PBE.
Intensities are scaled so that the largest is 100.

Principal peaks in the range 2θ = 5–70°, in order of rising 2θ:
hkl, 2θ/deg, I/Imax
2 0 -2, 26.93, 100.0
1 3 -3, 37.68, 27.8
2 0 2, 38.37, 13.3
0 6 0, 38.48, 13.0
3 3 -1, 39.24, 24.8
0 0 4, 46.19, 7.9
2 6 -2, 47.62, 14.2
2 6 2, 55.47, 9.1
0 6 4, 61.64, 6.9
5 3 -3, 63.87, 12.0

Structural model:
```
data_AcTe6Pb5
_cell_length_a 7.906
_cell_length_b 14.036
_cell_length_c 8.330
_cell_angle_alpha 90.00
_cell_angle_beta 109.31
_cell_angle_gamma 90.00
_space_group_name_H-M_alt 'C 1 2/m 1'
_space_group_IT_number 12
loop_
_space_group_symop_operation_xyz
'x,y,z'
'-x,-y,-z'
'-x,y,-z'
'x,-y,z'
'x+1/2,y+1/2,z'
'-x+1/2,-y+1/2,-z'
'-x+1/2,y+1/2,-z'
'x+1/2,-y+1/2,z'
loop_
_atom_site_label
_atom_site_fract_x
_atom_site_fract_y
_atom_site_fract_z
Ac1 0.000 0.000 0.000
Te1 0.247 0.500 0.250
Te2 0.248 0.332 0.748
Pb1 0.000 0.161 0.500
Pb2 0.000 0.329 0.000
Pb3 0.000 0.500 0.500
```

# 7
This entry pairs a crystal structure of Ac3Ga4Co4 with its theoretical powder XRD pattern. Radiation: Cu Kα (λ = 1.5418 Å). Structure: a cell relaxed with GGA-PBE.
Intensities are scaled so that the largest is 100.

Principal peaks in the range 2θ = 5–70°, in order of rising 2θ:
hkl, 2θ/deg, I/Imax
2 0 0, 23.34, 33.9
2 1 1, 28.69, 22.1
2 2 0, 33.24, 100.0
3 1 0, 37.30, 33.4
2 2 2, 41.02, 15.5
3 2 1, 44.47, 20.0
4 1 1, 50.82, 16.5
4 2 0, 53.78, 24.0
4 2 2, 59.40, 28.4
4 4 0, 69.79, 13.6

Structural model:
```
data_Ac3Ga4Co4
_cell_length_a 7.623
_cell_length_b 7.623
_cell_length_c 7.623
_cell_angle_alpha 90.00
_cell_angle_beta 90.00
_cell_angle_gamma 90.00
_space_group_name_H-M_alt 'I -4 3 m'
_space_group_IT_number 217
_space_group_name_Hall 'I -4 2 3'
loop_
_atom_site_label
_atom_site_fract_x
_atom_site_fract_y
_atom_site_fract_z
Ac1 0.000 0.000 0.500
Ga1 0.198 0.198 0.198
Co1 0.116 0.116 0.884
```

# 8
This entry pairs a crystal structure of EuAl3Ag2 with its theoretical powder XRD pattern. Radiation: Cu Kα (λ = 1.5418 Å). Structure: a cell relaxed with GGA-PBE.
Intensities are scaled so that the largest is 100.

Principal peaks in the range 2θ = 5–70°, in order of rising 2θ:
hkl, 2θ/deg, I/Imax
0 0 1, 20.05, 44.5
1 0 1, 27.28, 6.5
1 1 0, 32.00, 60.3
2 0 0, 37.12, 4.8
1 1 1, 38.05, 100.0
0 0 2, 40.75, 17.6
1 1 2, 52.72, 28.4
3 0 0, 57.04, 11.1
3 0 1, 61.08, 24.0
2 2 0, 66.91, 11.7

Structural model:
```
data_EuAl3Ag2
_cell_length_a 5.5936
_cell_length_b 5.5936
_cell_length_c 4.4290
_cell_angle_alpha 90.00
_cell_angle_beta 90.00
_cell_angle_gamma 120.00
_space_group_name_H-M_alt 'P 6/m m m'
_space_group_IT_number 191
_space_group_name_Hall '-P 6 2'
loop_
_atom_site_label
_atom_site_fract_x
_atom_site_fract_y
_atom_site_fract_z
Eu1 0.0000 0.0000 0.0000
Al1 0.0000 0.5000 0.5000
Ag1 0.3333 0.6667 0.0000
```